Record 1
Starting from a DFT-relaxed cell (PBE, Alexandria), the X-ray powder pattern of Na2LaTlBi2 was computed for Cu Kα X-rays.

The 6 most intense peaks (2θ from 15° to 90°), by intensity:
two_theta, intensity
29.3, 100
35.3, 72
27.8, 71
23.5, 44
20.8, 38
38.9, 32

Structure:
a b c (Å): 4.633 9.718 8.903
angles (deg): 90.00 90.00 90.00
Atoms (fractional coordinates):
Na 0.000 0.078 0.000
Na 0.000 0.922 0.500
Na 0.500 0.195 0.287
Na 0.500 0.805 0.787
La 0.500 0.428 0.874
La 0.500 0.572 0.374
Tl 0.000 0.261 0.539
Tl 0.000 0.739 0.039
Bi 0.000 0.425 0.152
Bi 0.000 0.575 0.652
Bi 0.500 0.125 0.739
Bi 0.500 0.875 0.239

=====

Record 2
Starting from a DFT-relaxed cell (PBE, Alexandria), the X-ray powder pattern of La4NdBi5 was computed for Cu Kα X-rays.

The 6 most intense peaks (2θ from 15° to 90°), by intensity:
two_theta, intensity
26.9, 100
38.4, 79
62.7, 38
47.5, 29
69.5, 28
55.5, 14

Structure:
a b c (Å): 12.393 12.393 12.393
angles (deg): 158.18 148.99 38.24
Atoms (fractional coordinates):
La 0.100 0.100 0.000
La 0.301 0.301 0.000
La 0.699 0.699 0.000
La 0.900 0.900 0.000
Nd 0.500 0.500 0.000
Bi 0.000 0.500 0.500
Bi 0.200 0.700 0.500
Bi 0.402 0.902 0.500
Bi 0.598 0.098 0.500
Bi 0.800 0.300 0.500

=====

Record 3
Starting from a DFT-relaxed cell (PBE, Alexandria), the X-ray powder pattern of LaNd5Bi5 was computed for Cu Kα X-rays.

The 6 most intense peaks (2θ from 15° to 90°), by intensity:
two_theta, intensity
27.5, 100
39.3, 98
27.6, 49
64.2, 23
48.6, 21
48.7, 21

Structure:
a b c (Å): 7.919 7.919 9.169
angles (deg): 106.70 106.70 48.46
Atoms (fractional coordinates):
La 0.000 0.000 0.000
Nd 0.000 0.000 0.500
Nd 0.334 0.334 0.167
Nd 0.334 0.334 0.666
Nd 0.666 0.666 0.334
Nd 0.666 0.666 0.833
Bi 0.168 0.168 0.337
Bi 0.170 0.170 0.831
Bi 0.500 0.500 0.000
Bi 0.830 0.830 0.169
Bi 0.832 0.832 0.663